For Ta7Tc, a GGA-PBE-relaxed structure gives the simulated powder XRD pattern in this record (Cu Ka).
Kinematic intensities with the Lorentz-polarization factor, no thermal factor.

The 6 most intense peaks (2θ = 10–80°), in order of rising 2θ:
two_theta	intensity
18.40	2
37.31	100
43.35	49
62.97	33
75.53	39
79.54	11

Crystal structure
Cell lengths 5.9041, 5.9041, 5.9041 Å; angles 60.00, 60.00, 60.00 degrees
Fractional positions:
Ta: 0.0000 0.0000 0.0000
Ta: 0.0000 0.0000 0.5000
Ta: 0.0000 0.5000 0.0000
Ta: 0.0000 0.5000 0.5000
Ta: 0.5000 0.0000 0.0000
Ta: 0.5000 0.0000 0.5000
Ta: 0.5000 0.5000 0.0000
Tc: 0.5000 0.5000 0.5000

***

For CeHfCo, a GGA-PBE-relaxed structure gives the simulated powder XRD pattern in this record (Cu Ka).
Kinematic intensities with the Lorentz-polarization factor, no thermal factor.

The 6 most intense peaks (2θ = 10–80°), in order of rising 2θ:
two_theta	intensity
29.78	100
32.24	54
32.96	47
35.81	72
37.64	58
58.33	33

Crystal structure
Cell lengths 3.7944, 5.0155, 6.7575 Å; angles 90.00, 99.30, 90.00 degrees
Fractional positions:
Ce: 0.2272 0.2500 0.0660
Ce: 0.7728 0.7500 0.9340
Hf: 0.2817 0.2500 0.5727
Hf: 0.7183 0.7500 0.4273
Co: 0.2552 0.7500 0.6934
Co: 0.7448 0.2500 0.3066

***

For RbNa2Tl2Bi2, a GGA-PBE-relaxed structure gives the simulated powder XRD pattern in this record (Cu Ka).
Kinematic intensities with the Lorentz-polarization factor, no thermal factor.

The 6 most intense peaks (2θ = 10–80°), in order of rising 2θ:
two_theta	intensity
17.92	40
22.21	77
32.63	100
35.64	46
37.47	40
42.86	35

Crystal structure
Cell lengths 10.3962, 10.3962, 10.3962 Å; angles 30.61, 30.61, 30.61 degrees
Fractional positions:
Rb: 0.0000 0.0000 0.0000
Na: 0.1375 0.1375 0.1375
Na: 0.8625 0.8625 0.8625
Tl: 0.4440 0.4440 0.4440
Tl: 0.5560 0.5560 0.5560
Bi: 0.2464 0.2464 0.2464
Bi: 0.7536 0.7536 0.7536

***

For Dy2Y5Tm, a GGA-PBE-relaxed structure gives the simulated powder XRD pattern in this record (Cu Ka).
Kinematic intensities with the Lorentz-polarization factor, no thermal factor.

The 6 most intense peaks (2θ = 10–80°), in order of rising 2θ:
two_theta	intensity
10.80	21
29.09	47
30.31	50
31.34	51
31.59	100
31.77	44

Crystal structure
Cell lengths 6.6257, 8.8337, 9.5134 Å; angles 88.37, 85.45, 67.98 degrees
Fractional positions:
Dy: 0.1267 0.1057 0.0757
Dy: 0.2328 0.8943 0.5754
Dy: 0.7672 0.1057 0.4246
Dy: 0.8733 0.8943 0.9243
Y: 0.1555 0.6881 0.2503
Y: 0.2001 0.2455 0.3876
Y: 0.2035 0.4930 0.9116
Y: 0.3043 0.4928 0.5890
Y: 0.4462 0.7545 0.8868
Y: 0.5538 0.2455 0.1132
Y: 0.6957 0.5072 0.4110
Y: 0.7965 0.5070 0.0884
Y: 0.7999 0.7545 0.6124
Y: 0.8445 0.3119 0.7497
Tm: 0.4377 0.1248 0.7503
Tm: 0.5623 0.8752 0.2497

***

For PuCo5P3, a GGA-PBE-relaxed structure gives the simulated powder XRD pattern in this record (Cu Ka).
Kinematic intensities with the Lorentz-polarization factor, no thermal factor.

The 6 most intense peaks (2θ = 10–80°), in order of rising 2θ:
two_theta	intensity
28.49	59
34.35	58
35.25	46
35.56	100
38.01	73
41.62	61

Crystal structure
Cell lengths 5.9932, 5.9932, 11.2368 Å; angles 90.00, 90.00, 145.23 degrees
Fractional positions:
Pu: 0.1551 0.8449 0.7500
Pu: 0.8449 0.1551 0.2500
Co: 0.0000 0.0000 0.0000
Co: 0.0000 0.0000 0.5000
Co: 0.1984 0.8016 0.0683
Co: 0.1984 0.8016 0.4317
Co: 0.4449 0.5551 0.6423
Co: 0.4449 0.5551 0.8577
Co: 0.5551 0.4449 0.1423
Co: 0.5551 0.4449 0.3577
Co: 0.8016 0.1984 0.5683
Co: 0.8016 0.1984 0.9317
P: 0.1136 0.8864 0.2500
P: 0.3826 0.6175 0.0431
P: 0.3826 0.6175 0.4569
P: 0.6175 0.3826 0.5431
P: 0.6175 0.3826 0.9569
P: 0.8864 0.1136 0.7500

***

For ErNi4Te, a GGA-PBE-relaxed structure gives the simulated powder XRD pattern in this record (Cu Ka).
Kinematic intensities with the Lorentz-polarization factor, no thermal factor.

The 6 most intense peaks (2θ = 10–80°), in order of rising 2θ:
two_theta	intensity
35.85	59
42.31	100
44.28	18
64.42	21
68.85	30
75.97	22

Crystal structure
Cell lengths 5.0102, 5.0102, 5.0102 Å; angles 60.00, 60.00, 60.00 degrees
Fractional positions:
Er: 0.0000 0.0000 0.0000
Ni: 0.1225 0.6258 0.6258
Ni: 0.6258 0.1225 0.6258
Ni: 0.6258 0.6258 0.1225
Ni: 0.6258 0.6258 0.6258
Te: 0.2500 0.2500 0.2500

***

For Tm8As3PSe4, a GGA-PBE-relaxed structure gives the simulated powder XRD pattern in this record (Cu Ka).
Kinematic intensities with the Lorentz-polarization factor, no thermal factor.

The 6 most intense peaks (2θ = 10–80°), in order of rising 2θ:
two_theta	intensity
27.13	22
31.37	100
44.85	36
45.07	37
55.94	19
74.56	16

Crystal structure
Cell lengths 8.0837, 8.0837, 8.0837 Å; angles 59.69, 59.69, 59.69 degrees
Fractional positions:
Tm: 0.2457 0.2457 0.2457
Tm: 0.2507 0.7412 0.7412
Tm: 0.2588 0.2588 0.7493
Tm: 0.2588 0.7493 0.2588
Tm: 0.7412 0.2507 0.7412
Tm: 0.7412 0.7412 0.2507
Tm: 0.7493 0.2588 0.2588
Tm: 0.7543 0.7543 0.7543
As: 0.0000 0.0000 0.5000
As: 0.0000 0.5000 0.0000
As: 0.5000 0.0000 0.0000
P: 0.5000 0.5000 0.5000
Se: 0.0000 0.0000 0.0000
Se: 0.0000 0.5000 0.5000
Se: 0.5000 0.0000 0.5000
Se: 0.5000 0.5000 0.0000

***

For Na2AsIrO6, a GGA-PBE-relaxed structure gives the simulated powder XRD pattern in this record (Cu Ka).
Kinematic intensities with the Lorentz-polarization factor, no thermal factor.

The 6 most intense peaks (2θ = 10–80°), in order of rising 2θ:
two_theta	intensity
17.16	26
17.96	67
24.37	66
30.44	100
34.73	33
59.61	30

Crystal structure
Cell lengths 5.1659, 5.1659, 4.9390 Å; angles 90.00, 90.00, 90.00 degrees
Fractional positions:
Na: 0.0000 0.5000 0.0000
Na: 0.5000 0.0000 0.0000
As: 0.0000 0.0000 0.5211
Ir: 0.5000 0.5000 0.5560
O: 0.0000 0.0000 0.1771
O: 0.2424 0.2424 0.6554
O: 0.2424 0.7576 0.6554
O: 0.5000 0.5000 0.1795
O: 0.7576 0.2424 0.6554
O: 0.7576 0.7576 0.6554

***

For Li4Ca2Zn5, a GGA-PBE-relaxed structure gives the simulated powder XRD pattern in this record (Cu Ka).
Kinematic intensities with the Lorentz-polarization factor, no thermal factor.

The 6 most intense peaks (2θ = 10–80°), in order of rising 2θ:
two_theta	intensity
15.24	91
30.50	45
30.82	42
35.01	100
36.04	42
38.87	37

Crystal structure
Cell lengths 6.8137, 6.8137, 7.1427 Å; angles 121.47, 121.47, 52.02 degrees
Fractional positions:
Li: 0.0942 0.0942 0.2428
Li: 0.1851 0.1851 0.9647
Li: 0.8149 0.8149 0.0353
Li: 0.9058 0.9058 0.7572
Ca: 0.4949 0.4949 0.2440
Ca: 0.5051 0.5051 0.7560
Zn: 0.0000 0.0000 0.5000
Zn: 0.0077 0.4461 0.6676
Zn: 0.4461 0.0077 0.6676
Zn: 0.5539 0.9923 0.3324
Zn: 0.9923 0.5539 0.3324

***

For UPH2, a GGA-PBE-relaxed structure gives the simulated powder XRD pattern in this record (Cu Ka).
Kinematic intensities with the Lorentz-polarization factor, no thermal factor.

The 6 most intense peaks (2θ = 10–80°), in order of rising 2θ:
two_theta	intensity
25.97	99
29.06	90
31.53	100
32.68	58
35.63	38
46.05	73

Crystal structure
Cell lengths 3.7119, 5.4797, 4.4008 Å; angles 90.00, 90.00, 90.00 degrees
Fractional positions:
U: 0.2500 0.2500 0.1776
U: 0.7500 0.7500 0.8224
P: 0.2500 0.7500 0.3465
P: 0.7500 0.2500 0.6535
H: 0.2500 0.5533 0.8701
H: 0.2500 0.9467 0.8701
H: 0.7500 0.0533 0.1299
H: 0.7500 0.4467 0.1299

***

For Na2CaAgI5, a GGA-PBE-relaxed structure gives the simulated powder XRD pattern in this record (Cu Ka).
Kinematic intensities with the Lorentz-polarization factor, no thermal factor.

The 6 most intense peaks (2θ = 10–80°), in order of rising 2θ:
two_theta	intensity
10.18	39
10.81	44
23.41	42
24.15	49
25.90	100
34.05	36

Crystal structure
Cell lengths 10.5052, 10.5052, 16.3639 Å; angles 90.00, 90.00, 155.04 degrees
Fractional positions:
Na: 0.0237 0.9763 0.5000
Na: 0.0881 0.9119 0.7567
Na: 0.9119 0.0881 0.2567
Na: 0.9763 0.0237 0.0000
Ca: 0.2581 0.7419 0.1112
Ca: 0.7419 0.2581 0.6112
Ag: 0.3732 0.6268 0.5129
Ag: 0.6268 0.3732 0.0129
I: 0.1026 0.8974 0.1183
I: 0.2378 0.7622 0.4761
I: 0.2390 0.7610 0.7431
I: 0.4142 0.5858 0.1132
I: 0.4654 0.5346 0.3808
I: 0.5346 0.4654 0.8808
I: 0.5858 0.4142 0.6132
I: 0.7610 0.2390 0.2431
I: 0.7622 0.2378 0.9761
I: 0.8974 0.1026 0.6183

***

For HIrPb2O6, a GGA-PBE-relaxed structure gives the simulated powder XRD pattern in this record (Cu Ka).
Kinematic intensities with the Lorentz-polarization factor, no thermal factor.

The 6 most intense peaks (2θ = 10–80°), in order of rising 2θ:
two_theta	intensity
18.84	99
22.21	45
29.61	87
30.09	100
31.51	58
33.24	55

Crystal structure
Cell lengths 6.0218, 6.0218, 5.4899 Å; angles 116.28, 116.28, 99.40 degrees
Fractional positions:
H: 0.0000 0.0000 0.0000
Ir: 0.3098 0.3098 0.6651
Pb: 0.0698 0.6433 0.3097
Pb: 0.6433 0.0698 0.3097
O: 0.0722 0.0722 0.6802
O: 0.0833 0.5119 0.6624
O: 0.4101 0.4101 0.4460
O: 0.5119 0.0833 0.6624
O: 0.5879 0.5879 0.1069
O: 0.9790 0.9790 0.1576

***

For SrCd3Rh2, a GGA-PBE-relaxed structure gives the simulated powder XRD pattern in this record (Cu Ka).
Kinematic intensities with the Lorentz-polarization factor, no thermal factor.

The 6 most intense peaks (2θ = 10–80°), in order of rising 2θ:
two_theta	intensity
11.42	30
28.96	35
32.93	75
35.59	94
40.32	100
43.33	33

Crystal structure
Cell lengths 8.3272, 8.3272, 8.6897 Å; angles 115.85, 115.85, 31.15 degrees
Fractional positions:
Sr: 0.1439 0.1439 0.0923
Sr: 0.8561 0.8561 0.9077
Cd: 0.0197 0.0197 0.3460
Cd: 0.3216 0.3216 0.5463
Cd: 0.3795 0.3795 0.2529
Cd: 0.6205 0.6205 0.7471
Cd: 0.6784 0.6784 0.4537
Cd: 0.9803 0.9803 0.6540
Rh: 0.1830 0.1830 0.6573
Rh: 0.4846 0.4846 0.8477
Rh: 0.5154 0.5154 0.1523
Rh: 0.8170 0.8170 0.3427